Simulated X-ray powder pattern
Compound: KCaNi2H3Se2O10
Radiation: a wavelength of 1.5418 Å
Structure: a GGA+U-relaxed structure
Peak positions follow from Bragg's law for the DFT cell and can differ from measured ones.

Principal peaks in the range 10° ≤ 2θ ≤ 90°, in order of rising 2θ:
hkl, 2theta, d (Å), intensity
0 0 1, 13.22, 6.695, 54
1 0 1, 20.90, 4.251, 100
0 1 -1, 23.47, 3.790, 43
-1 1 1, 26.35, 3.382, 46
1 1 2, 27.06, 3.295, 42
1 2 0, 28.20, 3.165, 62
1 0 -2, 30.76, 2.907, 50
0 2 2, 32.58, 2.748, 33
2 2 1, 32.96, 2.718, 33
1 -2 0, 39.90, 2.260, 37

Structural model:
```
data_KCaNi2H3Se2O10
_chemical_formula_sum 'K1 Ca1 Ni2 H3 Se2 O10'
_symmetry_space_group_name_H-M 'P 1'
_symmetry_Int_Tables_number 1
_cell_length_a 6.171
_cell_length_b 6.908
_cell_length_c 7.240
_cell_angle_alpha 67.67
_cell_angle_beta 82.13
_cell_angle_gamma 65.50
loop_
_symmetry_equiv_pos_as_xyz
'x,y,z'
loop_
_atom_site_label
_atom_site_type_symbol
_atom_site_fract_x
_atom_site_fract_y
_atom_site_fract_z
K1 K 0.000 0.000 0.000
Ca1 Ca 0.565 0.338 0.618
Ni1 Ni 0.029 0.964 0.527
Ni2 Ni 0.943 0.522 0.463
H1 H 0.103 0.582 0.701
H2 H 0.487 0.793 0.319
H3 H 0.596 0.656 0.175
Se1 Se 0.325 0.265 0.190
Se2 Se 0.555 0.808 0.740
O1 O 0.104 0.508 0.198
O2 O 0.156 0.633 0.563
O3 O 0.232 0.043 0.279
O4 O 0.396 0.287 0.955
O5 O 0.470 0.730 0.979
O6 O 0.558 0.194 0.331
O7 O 0.617 0.647 0.318
O8 O 0.740 0.549 0.714
O9 O 0.761 0.923 0.740
O10 O 0.968 0.213 0.592
```